For Nd11Dy4Er9, DFT lattice parameters and positions (GGA-PBE) gives the simulated X-ray diffraction stick pattern in this record (copper Kα).
Intensities are scaled so that the largest is 1000.

Most intense lines, 2θ = 15–90°, most intense first:
| 2θ (°) | d (Å) | I/Imax |
| --- | --- | --- |
| 29.69 | 3.009 | 1000 |
| 32.33 | 2.769 | 950 |
| 32.19 | 2.780 | 945 |
| 30.94 | 2.891 | 353 |
| 30.03 | 2.976 | 343 |
| 59.09 | 1.563 | 326 |
| 31.83 | 2.811 | 302 |
| 49.83 | 1.830 | 257 |
| 62.11 | 1.494 | 208 |
| 32.47 | 2.758 | 200 |
| 60.69 | 1.526 | 200 |
| 31.66 | 2.826 | 176 |

Atomic structure:
```
data_Nd11Dy4Er9
_chemical_formula_sum 'Nd22 Dy8 Er18'
_symmetry_space_group_name_H-M 'C m m m'
_symmetry_Int_Tables_number 65
_symmetry_space_group_name_Hall '-C 2 2'
_cell_length_a 16.943
_cell_length_b 25.656
_cell_length_c 3.660
_cell_angle_alpha 90.00
_cell_angle_beta 90.00
_cell_angle_gamma 90.00
loop_
_atom_site_label
_atom_site_type_symbol
_atom_site_fract_x
_atom_site_fract_y
_atom_site_fract_z
_atom_site_occupancy
Nd1 Nd 0.000 0.000 0.000 1
Nd2 Nd 0.000 0.160 0.000 1
Nd3 Nd 0.000 0.368 0.000 1
Nd4 Nd 0.208 0.500 0.000 1
Nd5 Nd 0.224 0.181 0.000 1
Dy1 Dy 0.157 0.398 0.500 1
Er1 Er 0.000 0.500 0.500 1
Er2 Er 0.102 0.267 0.500 1
Er3 Er 0.141 0.073 0.500 1
```